No. 1
Starting from the GGA-PBE geometry in Alexandria, the powder diffraction line list of Te3AsBr was computed for Cu Ka.
Lines closer than 0.1° are merged.

Cell and atoms:
Cell: 8.2482 7.9302 5.2698 Å, 90.00 90.00 90.00°
Fractional coordinates of all 10 atoms:
Te  0.0000  0.1836  0.0000
Te  0.2328  0.2706  0.6205
Te  0.2672  0.7294  0.1205
Te  0.5000  0.8164  0.5000
Te  0.7328  0.7294  0.1205
Te  0.7672  0.2706  0.6205
As  0.0000  0.4435  0.3558
As  0.5000  0.5565  0.8558
Br  0.0000  0.7387  0.6944
Br  0.5000  0.2613  0.1944

Peak list (12 most intense, 10 to 80 degrees two-theta, in order of falling intensity)
- 29.73°, 3.005 Å, I 100
- 22.42°, 3.965 Å, I 38
- 44.18°, 2.050 Å, I 22
- 40.59°, 2.223 Å, I 17
- 41.13°, 2.195 Å, I 16
- 30.22°, 2.958 Å, I 15
- 22.95°, 3.875 Å, I 15
- 43.91°, 2.062 Å, I 14
- 15.50°, 5.717 Å, I 11
- 37.59°, 2.393 Å, I 11
- 28.16°, 3.168 Å, I 10
- 61.73°, 1.503 Å, I 8

=====

No. 2
Starting from the GGA-PBE geometry in Alexandria, the powder diffraction line list of Tl3AsBr8 was computed for Cu Ka.
Lines closer than 0.1° are merged.

Cell and atoms:
Cell: 8.9704 8.9704 8.9704 Å, 131.37 131.37 71.23°
Fractional coordinates of all 12 atoms:
Tl  0.0000  0.0000  0.0000
Tl  0.2500  0.7500  0.5000
Tl  0.7500  0.2500  0.5000
As  0.5000  0.5000  0.0000
Br  0.1539  0.1539  0.5404
Br  0.1539  0.6134  0.0000
Br  0.3866  0.3866  0.5404
Br  0.3866  0.8461  0.0000
Br  0.6134  0.1539  0.0000
Br  0.6134  0.6134  0.4596
Br  0.8461  0.3866  0.0000
Br  0.8461  0.8461  0.4596

Peak list (12 most intense, 10 to 80 degrees two-theta, in order of falling intensity)
- 34.57°, 2.595 Å, I 100
- 20.92°, 4.247 Å, I 96
- 34.34°, 2.612 Å, I 50
- 40.55°, 2.225 Å, I 35
- 61.64°, 1.505 Å, I 33
- 40.95°, 2.204 Å, I 17
- 49.35°, 1.847 Å, I 17
- 62.09°, 1.495 Å, I 17
- 54.48°, 1.684 Å, I 16
- 72.91°, 1.297 Å, I 10
- 65.71°, 1.421 Å, I 9
- 50.03°, 1.823 Å, I 8

=====

No. 3
Starting from the GGA-PBE geometry in Alexandria, the powder diffraction line list of Tl2AsBr5 was computed for Cu Ka.
Lines closer than 0.1° are merged.

Cell and atoms:
Cell: 7.3900 7.3900 7.3900 Å, 115.11 115.11 98.70°
Fractional coordinates of all 8 atoms:
Tl  0.0000  0.5000  0.5000
Tl  0.5000  0.0000  0.5000
As  0.2865  0.2865  0.0000
Br  0.0395  0.0395  0.0000
Br  0.0660  0.0660  0.5237
Br  0.0660  0.5423  0.0000
Br  0.5423  0.0660  0.0000
Br  0.5423  0.5423  0.4763

Peak list (12 most intense, 10 to 80 degrees two-theta, in order of falling intensity)
- 29.18°, 3.060 Å, I 100
- 31.92°, 2.803 Å, I 65
- 24.37°, 3.652 Å, I 52
- 55.21°, 1.664 Å, I 32
- 40.57°, 2.224 Å, I 27
- 49.94°, 1.826 Å, I 24
- 15.81°, 5.607 Å, I 24
- 45.77°, 1.982 Å, I 23
- 14.47°, 6.121 Å, I 20
- 44.01°, 2.057 Å, I 15
- 37.36°, 2.407 Å, I 14
- 60.50°, 1.530 Å, I 13

=====

No. 4
Starting from the GGA-PBE geometry in Alexandria, the powder diffraction line list of AsW2Br was computed for Cu Ka.
Lines closer than 0.1° are merged.

Cell and atoms:
Cell: 3.1691 3.1691 7.9932 Å, 90.00 90.00 90.00°
Fractional coordinates of all 4 atoms:
As  0.0000  0.0000  0.0000
W  0.0000  0.0000  0.6269
W  0.5000  0.5000  0.8224
Br  0.5000  0.5000  0.3868

Peak list (12 most intense, 10 to 80 degrees two-theta, in order of falling intensity)
- 11.07°, 7.993 Å, I 100
- 36.17°, 2.483 Å, I 83
- 40.24°, 2.241 Å, I 44
- 44.42°, 2.039 Å, I 42
- 70.50°, 1.336 Å, I 24
- 76.07°, 1.251 Å, I 17
- 41.87°, 2.158 Å, I 17
- 58.22°, 1.585 Å, I 15
- 72.65°, 1.301 Å, I 12
- 62.25°, 1.491 Å, I 6
- 57.66°, 1.599 Å, I 6
- 59.47°, 1.554 Å, I 6